For CsBaOs2, DFT lattice parameters and positions (GGA-PBE) gives the calculated X-ray diffraction stick pattern in this record (CuKα).
Lines closer than 0.1° are merged.

Cell and atoms:
abc: 7.8179 7.8179 7.8179
angles: 90.00 90.00 90.00
Space group Fm-3m (No. 225)
Asymmetric unit:
Cs (0.0000, 0.0000, 0.0000) x4
Ba (0.0000, 0.0000, 0.5000) x4
Os (0.2500, 0.2500, 0.2500) x8

Top 10 peaks for 15° ≤ 2θ ≤ 90°, by angle:
two_theta	d_spacing	I_rel	hkl
22.7	3.909	4	2 0 0
32.4	2.764	100	2 2 0
39.9	2.257	1	2 2 2
46.5	1.954	18	4 0 0
52.3	1.748	2	4 2 0
57.8	1.596	39	4 2 2
67.8	1.382	12	4 4 0
72.5	1.303	1	6 0 0
77.2	1.236	17	6 2 0
86.2	1.128	4	4 4 4